(1)
For BaPrMgCo2O6, a PBE+U-relaxed structure gives the simulated powder X-ray diffraction pattern in this record (Cu Kα (weighted mean of Kα1 and Kα2)).
Neutral-atom scattering factors, no anomalous dispersion.

Cell and atoms:
```
data_BaPrMgCo2O6
_chemical_formula_sum 'Ba1 Pr1 Mg1 Co2 O6'
_cell_length_a 3.6085
_cell_length_b 4.1214
_cell_length_c 10.9007
_cell_angle_alpha 90.00
_cell_angle_beta 90.00
_cell_angle_gamma 90.00
_symmetry_space_group_name_H-M 'P m m 2'
_symmetry_Int_Tables_number 25
_symmetry_space_group_name_Hall 'P 2 -2'
loop_
_atom_site_label
_atom_site_type_symbol
_atom_site_fract_x
_atom_site_fract_y
_atom_site_fract_z
Ba1 Ba 0.0000 0.0000 0.0000
Pr1 Pr 0.0000 0.0000 0.6204
Mg1 Mg 0.0000 0.5000 0.2464
Co1 Co 0.5000 0.5000 0.4536
Co2 Co 0.5000 0.5000 0.8117
O1 O 0.0000 0.5000 0.4231
O2 O 0.0000 0.5000 0.8763
O3 O 0.5000 0.0000 0.4746
O4 O 0.5000 0.0000 0.8089
O5 O 0.5000 0.5000 0.1661
O6 O 0.5000 0.5000 0.6395
```

Principal peaks in the range 2θ = 15–90°, by angle:
2θ = 27.13°, I 84, (0 1 2); 2θ = 29.69°, I 45, (1 0 2); 2θ = 32.86°, I 86, (0 1 3); 2θ = 32.99°, I 86, (1 1 0); 2θ = 35.05°, I 100, (1 0 3); 2θ = 36.99°, I 45, (1 1 2); 2θ = 53.94°, I 55, (1 1 5); 2θ = 57.40°, I 46, (1 2 3)


(2)
For LiTaWO6, a PBE+U-relaxed structure gives the simulated powder X-ray diffraction pattern in this record (Cu Kα (weighted mean of Kα1 and Kα2)).
Neutral-atom scattering factors, no anomalous dispersion.

Cell and atoms:
```
data_LiTaWO6
_chemical_formula_sum 'Li4 Ta4 W4 O24'
_cell_length_a 7.3409
_cell_length_b 7.4192
_cell_length_c 10.4213
_cell_angle_alpha 90.00
_cell_angle_beta 90.00
_cell_angle_gamma 90.00
_symmetry_space_group_name_H-M 'I m m a'
_symmetry_Int_Tables_number 74
_symmetry_space_group_name_Hall '-I 2b 2'
loop_
_atom_site_label
_atom_site_type_symbol
_atom_site_fract_x
_atom_site_fract_y
_atom_site_fract_z
Li1 Li 0.0000 0.0000 0.0000
Ta1 Ta 0.2500 0.2500 0.2500
W1 W 0.0000 0.0000 0.5000
O1 O 0.0000 0.2500 0.1757
O2 O 0.0000 0.2500 0.5567
O3 O 0.1880 0.0614 0.3781
```

Principal peaks in the range 2θ = 15–90°, by angle:
2θ = 28.31°, I 82, (1 2 1); 2θ = 28.44°, I 83, (1 0 3); 2θ = 29.56°, I 100, (0 2 2); 2θ = 29.77°, I 99, (2 0 2); 2θ = 34.39°, I 67, (2 2 0); 2θ = 49.44°, I 58, (2 2 4); 2θ = 58.50°, I 30, (2 4 2); 2θ = 58.85°, I 45, (2 0 6)


(3)
For Li6VFe5O12, a PBE+U-relaxed structure gives the simulated powder X-ray diffraction pattern in this record (Cu Kα (weighted mean of Kα1 and Kα2)).
Neutral-atom scattering factors, no anomalous dispersion.

Cell and atoms:
```
data_Li6VFe5O12
_chemical_formula_sum 'Li6 V1 Fe5 O12'
_cell_length_a 5.0797
_cell_length_b 5.0818
_cell_length_c 10.0972
_cell_angle_alpha 81.99
_cell_angle_beta 86.17
_cell_angle_gamma 60.08
_symmetry_space_group_name_H-M 'P 1'
_symmetry_Int_Tables_number 1
_symmetry_space_group_name_Hall 'P 1'
loop_
_atom_site_label
_atom_site_type_symbol
_atom_site_fract_x
_atom_site_fract_y
_atom_site_fract_z
Li1 Li 0.0000 0.0000 0.0000
Li2 Li 0.0024 0.2404 0.4848
Li3 Li 0.3367 0.3427 0.9933
Li4 Li 0.3405 0.5552 0.4940
Li5 Li 0.6728 0.8982 0.4906
Li6 Li 0.6751 0.6680 0.9945
V1 V 0.3372 0.9502 0.2429
Fe1 Fe 0.0080 0.6162 0.2428
Fe2 Fe 0.3396 0.4500 0.7432
Fe3 Fe 0.6660 0.2863 0.2428
Fe4 Fe 0.6724 0.7832 0.7428
Fe5 Fe 0.9994 0.1175 0.7426
O1 O 0.0008 0.7449 0.8534
O2 O 0.0053 0.3099 0.1294
O3 O 0.0053 0.4923 0.6333
O4 O 0.0059 0.9227 0.3567
O5 O 0.3363 0.6448 0.1264
O6 O 0.3368 0.2574 0.3587
O7 O 0.3481 0.0851 0.8496
O8 O 0.3494 0.8046 0.6358
O9 O 0.6628 0.4213 0.8534
O10 O 0.6645 0.1527 0.6316
O11 O 0.6690 0.9790 0.1296
O12 O 0.6701 0.5900 0.3562
```

Principal peaks in the range 2θ = 15–90°, by angle:
2θ = 17.74°, I 100, (0 0 2); 2θ = 35.88°, I 10, (-1 1 1); 2θ = 35.96°, I 14, (2 1 1); 2θ = 37.19°, I 17, (1 -1 1); 2θ = 37.72°, I 10, (1 2 2); 2θ = 42.41°, I 11, (1 2 -2); 2θ = 46.50°, I 22, (2 1 -3); 2θ = 63.37°, I 13, (3 0 0)


(4)
For LaZnCrFeO6, a PBE+U-relaxed structure gives the simulated powder X-ray diffraction pattern in this record (Cu Kα (weighted mean of Kα1 and Kα2)).
Neutral-atom scattering factors, no anomalous dispersion.

Cell and atoms:
```
data_LaZnCrFeO6
_chemical_formula_sum 'La2 Zn2 Cr2 Fe2 O12'
_cell_length_a 5.3561
_cell_length_b 5.5255
_cell_length_c 9.3158
_cell_angle_alpha 90.00
_cell_angle_beta 124.85
_cell_angle_gamma 90.00
_symmetry_space_group_name_H-M 'P 1 c 1'
_symmetry_Int_Tables_number 7
_symmetry_space_group_name_Hall 'P -2yc'
loop_
_atom_site_label
_atom_site_type_symbol
_atom_site_fract_x
_atom_site_fract_y
_atom_site_fract_z
La1 La 0.0000 0.2162 0.0000
Zn1 Zn 0.5362 0.2786 0.5007
Cr1 Cr 0.2604 0.2598 0.7508
Fe1 Fe 0.7599 0.2512 0.2511
O1 O 0.1578 0.2319 0.5113
O2 O 0.4275 0.2853 0.9952
O3 O 0.5111 0.0389 0.3099
O4 O 0.5897 0.4872 0.8117
O5 O 0.9006 0.0515 0.6931
O6 O 0.9867 0.4856 0.1986
```

Principal peaks in the range 2θ = 15–90°, by angle:
2θ = 32.41°, I 47, (0 2 0); 2θ = 32.99°, I 100, (1 1 1); 2θ = 33.09°, I 97, (1 1 -3); 2θ = 33.46°, I 41, (2 0 -2); 2θ = 47.27°, I 53, (2 2 -2); 2θ = 47.58°, I 27, (0 0 4); 2θ = 58.21°, I 32, (1 3 1); 2θ = 59.48°, I 32, (3 1 -1)


(5)
For MgMn3CrO8, a PBE+U-relaxed structure gives the simulated powder X-ray diffraction pattern in this record (Cu Kα (weighted mean of Kα1 and Kα2)).
Neutral-atom scattering factors, no anomalous dispersion.

Cell and atoms:
```
data_MgMn3CrO8
_chemical_formula_sum 'Mg1 Mn3 Cr1 O8'
_cell_length_a 5.8631
_cell_length_b 5.8963
_cell_length_c 5.9055
_cell_angle_alpha 118.04
_cell_angle_beta 91.48
_cell_angle_gamma 119.51
_symmetry_space_group_name_H-M 'P -1'
_symmetry_Int_Tables_number 2
_symmetry_space_group_name_Hall '-P 1'
loop_
_atom_site_label
_atom_site_type_symbol
_atom_site_fract_x
_atom_site_fract_y
_atom_site_fract_z
Mg1 Mg 0.0000 0.0000 0.0000
Mn1 Mn 0.0000 0.0000 0.5000
Mn2 Mn 0.0000 0.5000 0.0000
Mn3 Mn 0.0000 0.5000 0.5000
Cr1 Cr 0.5000 0.0000 0.5000
O1 O 0.2008 0.4561 0.7263
O2 O 0.2215 0.9576 0.7106
O3 O 0.2233 0.5139 0.2623
O4 O 0.2309 0.0011 0.2764
```

Principal peaks in the range 2θ = 15–90°, by angle:
2θ = 18.06°, I 33, (0 0 1); 2θ = 18.27°, I 24, (1 -1 0); 2θ = 18.46°, I 100, (1 0 0); 2θ = 36.15°, I 15, (1 -2 2); 2θ = 37.44°, I 13, (2 0 0); 2θ = 42.35°, I 39, (0 2 0); 2θ = 42.94°, I 37, (2 0 -2); 2θ = 44.11°, I 35, (2 -2 2)


(6)
For Li4CrTeW2O12, a PBE+U-relaxed structure gives the simulated powder X-ray diffraction pattern in this record (Cu Kα (weighted mean of Kα1 and Kα2)).
Neutral-atom scattering factors, no anomalous dispersion.

Cell and atoms:
```
data_Li4CrTeW2O12
_chemical_formula_sum 'Li8 Cr2 Te2 W4 O24'
_cell_length_a 7.5532
_cell_length_b 7.5544
_cell_length_c 7.5622
_cell_angle_alpha 86.58
_cell_angle_beta 86.66
_cell_angle_gamma 86.73
_symmetry_space_group_name_H-M 'P 1'
_symmetry_Int_Tables_number 1
_symmetry_space_group_name_Hall 'P 1'
loop_
_atom_site_label
_atom_site_type_symbol
_atom_site_fract_x
_atom_site_fract_y
_atom_site_fract_z
Li1 Li 0.0000 0.0000 0.0000
Li2 Li 0.0008 0.9877 0.4850
Li3 Li 0.0056 0.4873 0.9826
Li4 Li 0.0127 0.5096 0.5059
Li5 Li 0.5410 0.9821 0.4877
Li6 Li 0.5445 0.4799 0.9902
Li7 Li 0.5742 0.0254 0.0383
Li8 Li 0.6115 0.5625 0.5650
Cr1 Cr 0.8116 0.2755 0.7811
Cr2 Cr 0.8126 0.7740 0.2804
Te1 Te 0.2931 0.7737 0.7700
Te2 Te 0.3062 0.2793 0.2802
W1 W 0.3073 0.7779 0.2742
W2 W 0.3126 0.2764 0.7708
W3 W 0.8032 0.7760 0.7890
W4 W 0.8066 0.2783 0.2858
O1 O 0.0512 0.8492 0.7053
O2 O 0.0645 0.3445 0.2203
O3 O 0.0707 0.7256 0.3532
O4 O 0.0755 0.2184 0.8386
O5 O 0.2359 0.5234 0.8392
O6 O 0.2370 0.8718 0.0600
O7 O 0.2476 0.3558 0.5234
O8 O 0.2551 0.0359 0.3629
O9 O 0.3713 0.5273 0.2112
O10 O 0.3820 0.2248 0.0358
O11 O 0.3835 0.7196 0.5277
O12 O 0.3923 0.0558 0.7008
O13 O 0.5531 0.2185 0.3421
O14 O 0.5529 0.3559 0.7426
O15 O 0.5530 0.8354 0.2302
O16 O 0.5751 0.7064 0.8586
O17 O 0.7491 0.8257 0.5398
O18 O 0.7586 0.0224 0.8472
O19 O 0.7646 0.5204 0.3447
O20 O 0.7666 0.3365 0.0402
O21 O 0.8646 0.0339 0.2358
O22 O 0.8653 0.2219 0.5255
O23 O 0.8731 0.5310 0.7293
O24 O 0.8888 0.7283 0.0255
```

Principal peaks in the range 2θ = 15–90°, by angle:
2θ = 20.80°, I 16, (1 -1 1); 2θ = 23.62°, I 100, (2 0 0); 2θ = 32.69°, I 40, (0 2 2); 2θ = 34.60°, I 27, (0 2 -2); 2θ = 42.32°, I 15, (2 -2 2); 2θ = 48.33°, I 18, (0 4 0); 2θ = 53.14°, I 18, (0 4 2); 2θ = 55.76°, I 14, (2 -4 0)


(7)
For Gd2Cr2O5, a PBE+U-relaxed structure gives the simulated powder X-ray diffraction pattern in this record (Cu Kα (weighted mean of Kα1 and Kα2)).
Neutral-atom scattering factors, no anomalous dispersion.

Cell and atoms:
```
data_Gd2Cr2O5
_chemical_formula_sum 'Gd2 Cr2 O5'
_cell_length_a 3.9169
_cell_length_b 3.9169
_cell_length_c 7.1494
_cell_angle_alpha 90.00
_cell_angle_beta 90.00
_cell_angle_gamma 90.00
_symmetry_space_group_name_H-M 'P 4/m m m'
_symmetry_Int_Tables_number 123
_symmetry_space_group_name_Hall '-P 4 2'
loop_
_atom_site_label
_atom_site_type_symbol
_atom_site_fract_x
_atom_site_fract_y
_atom_site_fract_z
Gd1 Gd 0.0000 0.0000 0.0000
Gd2 Gd 0.0000 0.0000 0.5000
Cr1 Cr 0.5000 0.5000 0.2186
O1 O 0.0000 0.5000 0.2250
O2 O 0.5000 0.5000 0.5000
```

Principal peaks in the range 2θ = 15–90°, by angle:
2θ = 22.70°, I 29, (1 0 0); 2θ = 32.32°, I 50, (1 1 0); 2θ = 33.95°, I 100, (1 0 2); 2θ = 41.23°, I 31, (1 1 2); 2θ = 46.36°, I 32, (2 0 0); 2θ = 58.69°, I 41, (2 1 2); 2θ = 61.77°, I 14, (1 1 4); 2θ = 71.46°, I 14, (2 0 4)


(8)
For RbFe3O5, a PBE+U-relaxed structure gives the simulated powder X-ray diffraction pattern in this record (Cu Kα (weighted mean of Kα1 and Kα2)).
Neutral-atom scattering factors, no anomalous dispersion.

Cell and atoms:
```
data_RbFe3O5
_chemical_formula_sum 'Rb4 Fe12 O20'
_cell_length_a 9.5793
_cell_length_b 3.1132
_cell_length_c 15.5330
_cell_angle_alpha 90.00
_cell_angle_beta 90.12
_cell_angle_gamma 90.00
_symmetry_space_group_name_H-M 'P 1 m 1'
_symmetry_Int_Tables_number 6
_symmetry_space_group_name_Hall 'P -2y'
loop_
_atom_site_label
_atom_site_type_symbol
_atom_site_fract_x
_atom_site_fract_y
_atom_site_fract_z
Rb1 Rb 0.0000 0.0000 0.0000
Rb2 Rb 0.0580 0.5000 0.7558
Rb3 Rb 0.5000 0.0000 0.2567
Rb4 Rb 0.5598 0.5000 0.4984
Fe1 Fe 0.1377 0.5000 0.2134
Fe2 Fe 0.1719 0.0000 0.3882
Fe3 Fe 0.2068 0.5000 0.5578
Fe4 Fe 0.3506 0.0000 0.0575
Fe5 Fe 0.3840 0.5000 0.8883
Fe6 Fe 0.4199 0.0000 0.7141
Fe7 Fe 0.6388 0.5000 0.0421
Fe8 Fe 0.6744 0.0000 0.8674
Fe9 Fe 0.7079 0.5000 0.6978
Fe10 Fe 0.8494 0.0000 0.2014
Fe11 Fe 0.8919 0.5000 0.3671
Fe12 Fe 0.9176 0.0000 0.5391
O1 O 0.0010 0.0000 0.3043
O2 O 0.0469 0.5000 0.4532
O3 O 0.0924 0.0000 0.6048
O4 O 0.2225 0.0000 0.1582
O5 O 0.2504 0.5000 0.3223
O6 O 0.2596 0.5000 0.9885
O7 O 0.2967 0.0000 0.4880
O8 O 0.3048 0.0000 0.8227
O9 O 0.3351 0.5000 0.6579
O10 O 0.4645 0.5000 0.1064
O11 O 0.5072 0.0000 0.9549
O12 O 0.5512 0.5000 0.8008
O13 O 0.5936 0.0000 0.6493
O14 O 0.7221 0.0000 0.0990
O15 O 0.7535 0.5000 0.9333
O16 O 0.7631 0.5000 0.2710
O17 O 0.7987 0.0000 0.7672
O18 O 0.8103 0.0000 0.4292
O19 O 0.8348 0.5000 0.5966
O20 O 0.9638 0.5000 0.1508
```

Principal peaks in the range 2θ = 15–90°, by angle:
2θ = 28.54°, I 88, (3 0 1); 2θ = 30.24°, I 100, (1 0 5); 2θ = 32.36°, I 64, (1 1 -2); 2θ = 34.91°, I 51, (1 1 3); 2θ = 36.32°, I 37, (2 1 2); 2θ = 38.63°, I 72, (2 1 3); 2θ = 41.69°, I 73, (2 1 -4); 2θ = 59.36°, I 53, (0 2 0)